The following is a computed powder XRD pattern of CuAg3S2. It was derived from a cell relaxed with GGA-PBE, using Cu Kα.

Cell and atoms:
Unit cell a=8.549 b=8.549 c=8.549 alpha=118.30 beta=118.30 gamma=92.97
Fractional positions:
Cu 0.220 0.970 0.250
Cu 0.470 0.720 0.750
Cu 0.530 0.280 0.250
Cu 0.780 0.030 0.750
Ag 0.000 0.000 0.500
Ag 0.000 0.500 0.000
Ag 0.000 0.500 0.500
Ag 0.136 0.951 0.877
Ag 0.240 0.364 0.315
Ag 0.426 0.740 0.377
Ag 0.451 0.074 0.815
Ag 0.500 0.500 0.000
Ag 0.549 0.926 0.185
Ag 0.574 0.260 0.623
Ag 0.760 0.636 0.685
Ag 0.864 0.049 0.123
S 0.203 0.716 0.988
S 0.216 0.727 0.513
S 0.227 0.214 0.512
S 0.286 0.297 0.013
S 0.714 0.703 0.987
S 0.773 0.786 0.488
S 0.784 0.273 0.487
S 0.797 0.284 0.012

Peak list (10 most intense, 10 to 90 degrees two-theta, in order of rising 2θ)
d [Å]  Rel. int.
2.836  58
2.774  85
2.508  54
2.444  46
2.381  100
2.274  30
2.192  31
2.134  27
2.019  32
1.387  25